(1)
Starting from a cell relaxed with PBE+U, the XRD peak list of Mn8O13F3 was calculated for Cu Kα (λ = 1.5418 Å).
Intensities are scaled so that the largest is 100.

Most intense lines, 10 to 80 degrees two-theta, sorted by position:
2θ/deg  d [Å]  I/Imax  index
24.85  3.583  61  1 1 0
25.99  3.428  53  1 -1 0
30.60  2.921  52  1 1 2
30.91  2.893  46  1 1 -2
31.70  2.822  100  -1 1 2
36.12  2.487  22  0 0 4
37.03  2.428  23  0 2 2
54.65  1.679  45  2 0 4
55.15  1.665  23  2 0 -4
65.81  1.419  23  0 2 -6

Crystal structure
```
24
Lattice="4.5232 0.0000 0.0000 0.2504 5.5444 0.0000 0.0836 0.0592 9.9469" Properties=species:S:1:pos:R:3 pbc="T T T"
Mn 0.0000 0.0000 0.0000
Mn 0.0536 0.0714 4.9900
Mn 0.3086 3.9382 2.4205
Mn 2.3254 2.7058 4.9261
Mn 2.2607 1.0408 2.4688
Mn 2.4808 2.8143 9.8436
Mn 2.4870 1.2176 7.4008
Mn 4.7119 3.8508 7.3874
O 1.2803 5.2976 3.3265
O 1.2547 4.0811 5.7756
O 1.3243 4.1338 0.8142
O 1.3100 2.5543 3.2859
O 1.3499 1.3873 5.8539
O 1.3212 1.3359 0.7969
O 1.4665 2.6268 8.2668
O 3.3416 1.2922 4.0622
O 3.4647 2.5338 6.4832
O 3.5364 1.4070 9.0363
O 3.7615 5.3782 6.5823
O 3.7641 5.3331 1.5943
O 3.7874 4.1519 9.0652
F 1.4514 5.4687 8.2836
F 3.5025 2.6236 1.5705
F 3.6114 3.9994 4.0124
```

(2)
Starting from a cell relaxed with PBE+U, the XRD peak list of Mn6O7F5 was calculated for Cu Kα (λ = 1.5418 Å).
Intensities are scaled so that the largest is 100.

Most intense lines, 10 to 80 degrees two-theta, sorted by position:
2θ/deg  d [Å]  I/Imax  index
26.79  3.328  100  1 1 1
27.48  3.246  99  -1 1 1
34.67  2.588  28  0 2 -1
34.80  2.578  19  0 0 3
34.93  2.569  32  1 1 -2
35.17  2.552  31  1 -1 2
53.18  1.722  27  1 -3 0
53.72  1.706  18  2 0 -3
59.93  1.543  19  0 2 -4
66.64  1.403  18  0 4 1

Crystal structure
```
18
Lattice="4.5845 0.0000 0.0000 0.1395 5.6461 0.0000 0.0720 0.5508 7.7332" Properties=species:S:1:pos:R:3 pbc="T T T"
Mn 0.0000 0.0000 0.0000
Mn 0.1349 3.8117 2.2581
Mn 2.2826 3.1871 7.4309
Mn 2.2748 1.0338 2.4405
Mn 2.4682 5.0115 5.0095
Mn 4.6162 2.1460 4.9536
O 0.9434 2.2926 3.1797
O 1.0894 4.0344 0.5922
O 1.3152 1.1286 0.7127
O 1.5143 3.4409 5.7050
O 3.2165 0.8894 4.1972
O 3.7760 5.4124 1.5917
O 3.7550 2.0392 6.7652
F 1.0436 0.5717 5.9907
F 1.3469 5.1098 3.3569
F 3.2288 2.6312 1.4296
F 3.5289 4.9213 6.7349
F 3.6497 3.7678 3.9520
```

(3)
Starting from a cell relaxed with PBE+U, the XRD peak list of Mn6O7F5 was calculated for Cu Kα (λ = 1.5418 Å).
Intensities are scaled so that the largest is 100.

Most intense lines, 10 to 80 degrees two-theta, sorted by position:
2θ/deg  d [Å]  I/Imax  index
25.72  3.464  100  1 1 1
27.80  3.209  91  -1 1 1
34.96  2.566  51  0 0 3
35.12  2.555  21  1 1 -2
35.24  2.547  22  0 2 -1
51.42  1.777  30  1 1 4
52.87  1.732  17  2 2 2
54.00  1.698  25  2 -2 1
60.77  1.524  21  0 2 -4
66.83  1.400  16  0 2 5

Crystal structure
```
18
Lattice="4.7259 0.0000 0.0000 0.3471 5.5803 0.0000 0.3849 0.6611 7.7082" Properties=species:S:1:pos:R:3 pbc="T T T"
Mn 0.0000 0.0000 0.0000
Mn 0.3899 4.1223 2.6179
Mn 0.4990 2.4216 5.1259
Mn 2.8179 5.0657 5.0780
Mn 2.6580 1.1996 2.5984
Mn 3.1739 3.6007 7.6815
O 1.4207 3.9267 4.2911
O 1.7459 1.1453 4.3394
O 2.1664 5.0901 6.9078
O 3.7797 5.2235 3.4055
O 3.8337 3.5715 5.8537
O 3.4705 1.2865 0.7982
O 4.2477 4.1209 0.8929
F 1.3938 2.2484 7.0109
F 1.4612 5.6488 1.8228
F 1.7879 2.8637 1.7937
F 4.1561 0.8163 5.8222
F 4.1757 2.4379 3.2828
```

(4)
Starting from a cell relaxed with PBE+U, the XRD peak list of Mn3O5F was calculated for Cu Kα (λ = 1.5418 Å).
Intensities are scaled so that the largest is 100.

Most intense lines, 10 to 80 degrees two-theta, sorted by position:
2θ/deg  d [Å]  I/Imax  index
27.78  3.212  100  0 1 1
35.65  2.519  54  3 0 1
39.68  2.271  9  0 2 0
40.97  2.203  17  3 1 1
54.40  1.687  59  3 1 2
57.38  1.606  17  0 2 2
61.26  1.513  9  6 0 0
68.55  1.369  12  6 1 1
69.33  1.355  11  3 3 0
69.48  1.353  10  3 0 3

Crystal structure
```
18
Lattice="9.0793 0.0000 0.0000 0.0000 4.5477 0.0000 0.0000 0.0000 4.5370" Properties=species:S:1:pos:R:3 pbc="T T T"
Mn 0.0000 1.0308 0.0000
Mn 1.5818 3.4226 2.3995
Mn 2.9578 1.1251 0.1310
Mn 4.5396 3.5169 2.2685
Mn 6.1215 1.1251 0.1310
Mn 7.4975 3.4226 2.3995
O 0.0000 4.2415 3.2278
O 1.4883 0.2462 0.9895
O 1.4961 1.9922 3.7490
O 3.0435 2.5555 1.4805
O 3.0514 4.3015 3.2580
O 4.5396 0.3062 0.9593
O 6.0279 4.3015 3.2580
O 6.0358 2.5555 1.4805
O 7.5832 1.9922 3.7490
O 7.5910 0.2462 0.9895
F 0.0000 2.4850 1.4485
F 4.5396 2.0627 3.7170
```